(1)
Calculated XRD peak list of Ce3Cu4Sn4 for Cu Kα X-rays, from a DFT-relaxed cell (PBE, the Materials Project).
Kinematic intensities with the Lorentz-polarization factor, no thermal factor.

Top 8 peaks for 10° ≤ 2θ ≤ 90°, low angle first:
| Position (°2θ) | Rel. int. | (hkl) |
| --- | --- | --- |
| 32.55 | 25 | 0 1 5 |
| 32.72 | 97 | 1 2 1 |
| 33.37 | 100 | 1 1 4 |
| 38.94 | 47 | 2 0 0 |
| 42.94 | 23 | 0 3 3 |
| 44.44 | 24 | 1 2 5 |
| 54.07 | 21 | 2 0 6 |
| 67.03 | 21 | 3 1 4 |

```
data_Ce3Cu4Sn4
_chemical_formula_sum 'Ce6 Cu8 Sn8'
_space_group_name_H-M_alt 'I m m m'
_space_group_IT_number 71
_space_group_name_Hall '-I 2 2'
_cell_length_a 4.6255
_cell_length_b 6.9709
_cell_length_c 14.9701
_cell_angle_alpha 90.00
_cell_angle_beta 90.00
_cell_angle_gamma 90.00
loop_
_atom_site_label
_atom_site_type_symbol
_atom_site_fract_x
_atom_site_fract_y
_atom_site_fract_z
_atom_site_occupancy
Ce1 Ce 0.0000 0.0000 0.0000 1
Ce2 Ce 0.0000 0.5000 0.1330 1
Cu1 Cu 0.0000 0.3167 0.3323 1
Sn1 Sn 0.0000 0.0000 0.2165 1
Sn2 Sn 0.0000 0.2024 0.5000 1
```

***

(2)
Calculated XRD peak list of CeCu4Sn for Cu Kα X-rays, from a DFT-relaxed cell (PBE, the Materials Project).
Kinematic intensities with the Lorentz-polarization factor, no thermal factor.

Top 8 peaks for 10° ≤ 2θ ≤ 90°, low angle first:
| Position (°2θ) | Rel. int. | (hkl) |
| --- | --- | --- |
| 28.59 | 68 | 1 2 1 |
| 32.60 | 100 | 1 1 3 |
| 32.95 | 34 | 0 2 3 |
| 35.20 | 79 | 2 0 0 |
| 35.48 | 62 | 0 1 4 |
| 43.99 | 99 | 1 2 4 |
| 47.06 | 85 | 1 4 1 |
| 48.98 | 55 | 2 2 3 |

```
data_CeCu4Sn
_chemical_formula_sum 'Ce4 Cu16 Sn4'
_space_group_name_H-M_alt 'P 21 21 21'
_space_group_IT_number 19
_cell_length_a 5.0987
_cell_length_b 8.5126
_cell_length_c 10.6003
_cell_angle_alpha 90.00
_cell_angle_beta 90.00
_cell_angle_gamma 90.00
loop_
_space_group_symop_operation_xyz
'x,y,z'
'-x+1/2,-y,z+1/2'
'x+1/2,-y+1/2,-z'
'-x,y+1/2,-z+1/2'
loop_
_atom_site_label
_atom_site_type_symbol
_atom_site_fract_x
_atom_site_fract_y
_atom_site_fract_z
_atom_site_occupancy
Ce1 Ce 0.0209 0.0062 0.1874 1
Cu1 Cu 0.0096 0.9077 0.4930 1
Cu2 Cu 0.0124 0.6354 0.8621 1
Cu3 Cu 0.0293 0.3671 0.7610 1
Cu4 Cu 0.2005 0.6678 0.0671 1
Sn1 Sn 0.0078 0.6171 0.6055 1
```

***

(3)
Calculated XRD peak list of CeCu4Sn for Cu Kα X-rays, from a DFT-relaxed cell (PBE, the Materials Project).
Kinematic intensities with the Lorentz-polarization factor, no thermal factor.

Top 8 peaks for 10° ≤ 2θ ≤ 90°, low angle first:
| Position (°2θ) | Rel. int. | (hkl) |
| --- | --- | --- |
| 29.85 | 51 | 1 0 3 |
| 34.23 | 39 | 1 2 2 |
| 34.58 | 81 | 0 2 3 |
| 38.06 | 100 | 2 1 1 |
| 38.90 | 85 | 1 2 3 |
| 39.02 | 40 | 1 1 4 |
| 40.69 | 72 | 2 1 2 |
| 41.88 | 61 | 1 3 1 |

```
data_CeCu4Sn
_chemical_formula_sum 'Ce4 Cu16 Sn4'
_space_group_name_H-M_alt 'P 21 21 21'
_space_group_IT_number 19
_cell_length_a 5.1313
_cell_length_b 7.3034
_cell_length_c 11.0557
_cell_angle_alpha 90.00
_cell_angle_beta 90.00
_cell_angle_gamma 90.00
loop_
_space_group_symop_operation_xyz
'x,y,z'
'-x+1/2,-y,z+1/2'
'x+1/2,-y+1/2,-z'
'-x,y+1/2,-z+1/2'
loop_
_atom_site_label
_atom_site_type_symbol
_atom_site_fract_x
_atom_site_fract_y
_atom_site_fract_z
_atom_site_occupancy
Ce1 Ce 0.0881 0.0717 0.2433 1
Cu1 Cu 0.1037 0.8888 0.4982 1
Cu2 Cu 0.1080 0.2772 0.7901 1
Cu3 Cu 0.1382 0.6091 0.8654 1
Cu4 Cu 0.1816 0.7919 0.0538 1
Sn1 Sn 0.1134 0.5398 0.5676 1
```

***

(4)
Calculated XRD peak list of CeCu4Sn for Cu Kα X-rays, from a DFT-relaxed cell (PBE, the Materials Project).
Kinematic intensities with the Lorentz-polarization factor, no thermal factor.

Top 8 peaks for 10° ≤ 2θ ≤ 90°, low angle first:
| Position (°2θ) | Rel. int. | (hkl) |
| --- | --- | --- |
| 33.68 | 58 | 1 2 -2 |
| 34.44 | 100 | 2 1 -1 |
| 37.14 | 44 | 0 2 3 |
| 37.45 | 40 | 1 3 0 |
| 38.52 | 56 | 2 1 -2 |
| 38.76 | 39 | 1 3 1 |
| 43.97 | 28 | 1 1 -4 |
| 49.68 | 35 | 1 4 -1 |

```
data_CeCu4Sn
_chemical_formula_sum 'Ce4 Cu16 Sn4'
_space_group_name_H-M_alt 'P 1 21 1'
_space_group_IT_number 4
_cell_length_a 5.7828
_cell_length_b 7.9188
_cell_length_c 9.1777
_cell_angle_alpha 90.00
_cell_angle_beta 90.07
_cell_angle_gamma 90.00
loop_
_space_group_symop_operation_xyz
'x,y,z'
'-x,y+1/2,-z'
loop_
_atom_site_label
_atom_site_type_symbol
_atom_site_fract_x
_atom_site_fract_y
_atom_site_fract_z
_atom_site_occupancy
Ce1 Ce 0.1231 0.0000 0.4733 1
Ce2 Ce 0.3761 0.2527 0.9730 1
Cu1 Cu 0.0802 0.2338 0.7163 1
Cu2 Cu 0.1174 0.5435 0.1156 1
Cu3 Cu 0.1394 0.8725 0.0624 1
Cu4 Cu 0.2257 0.3080 0.2969 1
Cu5 Cu 0.2911 0.9436 0.8016 1
Cu6 Cu 0.3593 0.3791 0.5554 1
Cu7 Cu 0.3785 0.7075 0.6170 1
Cu8 Cu 0.4229 0.0190 0.2171 1
Sn1 Sn 0.1168 0.6300 0.8393 1
Sn2 Sn 0.3753 0.6315 0.3371 1
```